(1)
This entry pairs a crystal structure of K3Ba with its calculated X-ray powder pattern. Radiation: Cu Kα X-rays. Structure: a structure optimized by DFT (PBE).
Neutral-atom scattering factors, no anomalous dispersion.

Unit cell a=4.5602 b=4.5602 c=15.4749 alpha=90.00 beta=90.00 gamma=120.00
Space group P-6m2 (No. 187)
Symmetry-distinct sites (fractional):
K 0.0000 0.0000 0.0000 x1
K 0.6667 0.3333 0.2533 x2
Ba 0.0000 0.0000 0.5000 x1

Principal peaks in the range 15° ≤ 2θ ≤ 90°, in order of rising 2θ:
2θ 22.5, d = 3.949 Å, I 29, (1 0 0); 2θ 23.0, d = 3.869 Å, I 27, (0 0 4); 2θ 25.3, d = 3.518 Å, I 100, (1 0 2); 2θ 32.4, d = 2.764 Å, I 23, (1 0 4); 2θ 41.8, d = 2.159 Å, I 24, (1 0 6); 2θ 46.2, d = 1.964 Å, I 23, (1 1 4)

***

(2)
This entry pairs a crystal structure of KBa5 with its calculated X-ray powder pattern. Radiation: Cu Kα X-rays. Structure: a structure optimized by DFT (PBE).
Neutral-atom scattering factors, no anomalous dispersion.

Unit cell a=16.8292 b=4.4658 c=10.8588 alpha=90.00 beta=105.29 gamma=90.00
Space group Cm (No. 8)
Symmetry-distinct sites (fractional):
K 0.0000 0.0000 0.0000 x2
Ba 0.1080 0.5000 0.7105 x2
Ba 0.1670 0.5000 0.3373 x2
Ba 0.2739 0.0000 0.0501 x2
Ba 0.3322 0.0000 0.6669 x2
Ba 0.4385 0.5000 0.3851 x2

Principal peaks in the range 15° ≤ 2θ ≤ 90°, in order of rising 2θ:
2θ 22.9, d = 3.888 Å, I 28, (1 1 1); 2θ 23.9, d = 3.717 Å, I 42, (4 0 -2); 2θ 25.5, d = 3.489 Å, I 58, (0 0 3); 2θ 25.9, d = 3.445 Å, I 100, (3 1 0); 2θ 39.7, d = 2.269 Å, I 21, (3 1 3); 2θ 46.9, d = 1.937 Å, I 27, (7 1 1)

***

(3)
This entry pairs a crystal structure of KBa3 with its calculated X-ray powder pattern. Radiation: Cu Kα X-rays. Structure: a structure optimized by DFT (PBE).
Neutral-atom scattering factors, no anomalous dispersion.

Unit cell a=15.1261 b=4.4669 c=7.9405 alpha=90.00 beta=99.02 gamma=90.00
Space group C2/m (No. 12)
Symmetry-distinct sites (fractional):
K 0.0000 0.0000 0.0000 x2
Ba 0.0000 0.5000 0.5000 x2
Ba 0.2490 0.5000 0.2549 x4

Principal peaks in the range 15° ≤ 2θ ≤ 90°, in order of rising 2θ:
2θ 23.9, d = 3.727 Å, I 100, (4 0 0); 2θ 24.1, d = 3.688 Å, I 98, (1 1 1); 2θ 27.3, d = 3.267 Å, I 36, (2 0 2); 2θ 28.0, d = 3.183 Å, I 68, (3 1 -1); 2θ 39.6, d = 2.277 Å, I 26, (1 1 -3); 2θ 47.5, d = 1.916 Å, I 30, (4 2 0)

***

(4)
This entry pairs a crystal structure of K2Ba5 with its calculated X-ray powder pattern. Radiation: Cu Kα X-rays. Structure: a structure optimized by DFT (PBE).
Neutral-atom scattering factors, no anomalous dispersion.

Unit cell a=4.9635 b=4.9635 c=37.5758 alpha=90.00 beta=90.00 gamma=90.00
Space group I4/mmm (No. 139)
Symmetry-distinct sites (fractional):
K 0.0000 0.0000 0.2135 x4
Ba 0.0000 0.0000 0.0659 x4
Ba 0.0000 0.0000 0.3639 x4
Ba 0.0000 0.0000 0.5000 x2

Principal peaks in the range 15° ≤ 2θ ≤ 90°, in order of rising 2θ:
2θ 24.4, d = 3.644 Å, I 100, (1 0 7); 2θ 25.4, d = 3.510 Å, I 48, (1 1 0); 2θ 27.9, d = 3.195 Å, I 14, (1 0 9); 2θ 36.2, d = 2.482 Å, I 19, (2 0 0); 2θ 42.4, d = 2.132 Å, I 20, (1 1 14); 2θ 44.2, d = 2.051 Å, I 40, (2 1 7)

***

(5)
This entry pairs a crystal structure of KBa3 with its calculated X-ray powder pattern. Radiation: Cu Kα X-rays. Structure: a structure optimized by DFT (PBE).
Neutral-atom scattering factors, no anomalous dispersion.

Unit cell a=8.0814 b=8.0814 c=8.0814 alpha=90.00 beta=90.00 gamma=90.00
Space group Pm-3n (No. 223)
Symmetry-distinct sites (fractional):
K 0.0000 0.0000 0.0000 x2
Ba 0.0000 0.2500 0.5000 x6

Principal peaks in the range 15° ≤ 2θ ≤ 90°, in order of rising 2θ:
2θ 24.6, d = 3.614 Å, I 100, (2 1 0); 2θ 27.0, d = 3.299 Å, I 34, (2 1 1); 2θ 40.2, d = 2.241 Å, I 27, (3 2 0); 2θ 41.8, d = 2.160 Å, I 20, (3 2 1); 2θ 51.8, d = 1.763 Å, I 26, (4 2 1); 2θ 61.8, d = 1.501 Å, I 23, (5 2 0)

***

(6)
This entry pairs a crystal structure of KBa5 with its calculated X-ray powder pattern. Radiation: Cu Kα X-rays. Structure: a structure optimized by DFT (PBE).
Neutral-atom scattering factors, no anomalous dispersion.

Unit cell a=5.0389 b=5.0389 c=15.4131 alpha=90.00 beta=90.00 gamma=90.00
Space group P4/mmm (No. 123)
Symmetry-distinct sites (fractional):
K 0.0000 0.0000 0.0000 x1
Ba 0.0000 0.0000 0.3424 x2
Ba 0.5000 0.5000 0.1738 x2
Ba 0.5000 0.5000 0.5000 x1

Principal peaks in the range 15° ≤ 2θ ≤ 90°, in order of rising 2θ:
2θ 24.7, d = 3.597 Å, I 100, (1 0 3); 2θ 25.0, d = 3.563 Å, I 50, (1 1 0); 2θ 35.6, d = 2.519 Å, I 20, (2 0 0); 2θ 43.4, d = 2.084 Å, I 21, (1 1 6); 2θ 43.9, d = 2.064 Å, I 42, (2 1 3); 2θ 50.8, d = 1.799 Å, I 13, (2 0 6)